Structure and simulated powder diffraction line list of RbNa2Al3Si3O13 (the GGA-PBE geometry in the Materials Project; Cu Ka).
Intensities are scaled so that the largest is 100.

Peak list (12 most intense, 2θ = 10–80°, low angle first)
- 17.91 deg, 4.954 Å, rel. 16.2
- 20.17 deg, 4.403 Å, rel. 33.1
- 20.98 deg, 4.235 Å, rel. 19.9
- 25.51 deg, 3.492 Å, rel. 100.0
- 27.73 deg, 3.217 Å, rel. 13.0
- 30.09 deg, 2.970 Å, rel. 99.7
- 30.79 deg, 2.904 Å, rel. 25.4
- 34.29 deg, 2.615 Å, rel. 31.2
- 36.31 deg, 2.474 Å, rel. 12.9
- 47.05 deg, 1.932 Å, rel. 15.6
- 51.92 deg, 1.761 Å, rel. 20.8
- 67.21 deg, 1.393 Å, rel. 13.5

Atomic structure:
a = 5.230 Å, b = 8.162 Å, c = 16.310 Å
α = 90.00°, β = 108.66°, γ = 90.00°
Fractional coordinates of all 44 atoms:
Rb  0.000  0.064  0.000
Rb  0.000  0.936  0.500
Na  0.264  0.335  0.264
Na  0.264  0.665  0.764
Na  0.760  0.320  0.763
Na  0.760  0.680  0.263
Al  0.291  0.097  0.764
Al  0.291  0.903  0.264
Al  0.654  0.400  0.118
Al  0.654  0.600  0.618
Al  0.946  0.398  0.410
Al  0.946  0.602  0.910
Si  0.159  0.382  0.621
Si  0.159  0.618  0.121
Si  0.444  0.384  0.907
Si  0.444  0.616  0.407
Si  0.793  0.116  0.263
Si  0.793  0.884  0.763
O  0.078  0.348  0.518
O  0.078  0.652  0.018
O  0.127  0.442  0.878
O  0.127  0.558  0.378
O  0.286  0.215  0.674
O  0.286  0.785  0.174
O  0.387  0.471  0.152
O  0.387  0.529  0.652
O  0.470  0.215  0.855
O  0.470  0.785  0.355
O  0.484  0.081  0.264
O  0.484  0.919  0.764
O  0.528  0.065  0.528
O  0.528  0.935  0.028
O  0.570  0.346  0.009
O  0.570  0.654  0.509
O  0.611  0.472  0.375
O  0.611  0.528  0.875
O  0.793  0.224  0.178
O  0.793  0.776  0.678
O  0.901  0.444  0.650
O  0.901  0.556  0.150
O  0.960  0.055  0.765
O  0.960  0.945  0.265
O  0.961  0.223  0.349
O  0.961  0.777  0.849



Structure and simulated powder diffraction line list of Y2MgCu2 (the GGA-PBE geometry in the Materials Project; Cu Ka).
Intensities are scaled so that the largest is 100.

Peak list (12 most intense, 2θ = 10–80°, low angle first)
- 16.31 deg, 5.434 Å, rel. 25.3
- 33.74 deg, 2.656 Å, rel. 19.2
- 35.77 deg, 2.511 Å, rel. 100.0
- 36.99 deg, 2.430 Å, rel. 27.3
- 42.41 deg, 2.131 Å, rel. 8.0
- 47.32 deg, 1.921 Å, rel. 7.1
- 48.86 deg, 1.864 Å, rel. 9.1
- 49.59 deg, 1.838 Å, rel. 10.8
- 50.38 deg, 1.811 Å, rel. 8.0
- 55.26 deg, 1.662 Å, rel. 10.0
- 63.45 deg, 1.466 Å, rel. 10.5
- 70.83 deg, 1.330 Å, rel. 10.0

Atomic structure:
a = 7.685 Å, b = 7.685 Å, c = 3.676 Å
α = 90.00°, β = 90.00°, γ = 90.00°
Fractional coordinates of all 10 atoms:
Y  0.171  0.329  0.000
Y  0.329  0.829  0.000
Y  0.671  0.171  0.000
Y  0.829  0.671  0.000
Mg  0.000  0.000  0.500
Mg  0.500  0.500  0.500
Cu  0.122  0.622  0.500
Cu  0.378  0.122  0.500
Cu  0.622  0.878  0.500
Cu  0.878  0.378  0.500



Structure and simulated powder diffraction line list of HfB4H16 (the GGA-PBE geometry in the Materials Project; Cu Ka).
Intensities are scaled so that the largest is 100.

Peak list (12 most intense, 2θ = 10–80°, low angle first)
- 14.74 deg, 6.009 Å, rel. 100.0
- 20.91 deg, 4.249 Å, rel. 81.8
- 25.68 deg, 3.469 Å, rel. 33.5
- 33.34 deg, 2.687 Å, rel. 43.5
- 36.63 deg, 2.453 Å, rel. 37.5
- 42.55 deg, 2.124 Å, rel. 16.0
- 45.27 deg, 2.003 Å, rel. 28.2
- 47.87 deg, 1.900 Å, rel. 17.1
- 50.37 deg, 1.812 Å, rel. 15.9
- 55.11 deg, 1.667 Å, rel. 13.1
- 57.38 deg, 1.606 Å, rel. 22.0
- 63.87 deg, 1.457 Å, rel. 15.2

Atomic structure:
a = 6.009 Å, b = 6.009 Å, c = 6.009 Å
α = 90.00°, β = 90.00°, γ = 90.00°
Fractional coordinates of all 21 atoms:
Hf  0.000  0.000  0.000
B  0.220  0.220  0.220
B  0.220  0.780  0.780
B  0.780  0.220  0.780
B  0.780  0.780  0.220
H  0.016  0.250  0.250
H  0.016  0.750  0.750
H  0.250  0.016  0.250
H  0.250  0.250  0.016
H  0.250  0.750  0.984
H  0.250  0.984  0.750
H  0.335  0.335  0.335
H  0.335  0.665  0.665
H  0.665  0.335  0.665
H  0.665  0.665  0.335
H  0.750  0.016  0.750
H  0.750  0.250  0.984
H  0.750  0.750  0.016
H  0.750  0.984  0.250
H  0.984  0.250  0.750
H  0.984  0.750  0.250



Structure and simulated powder diffraction line list of YGePd2 (the GGA-PBE geometry in the Materials Project; Cu Ka).
Intensities are scaled so that the largest is 100.

Peak list (12 most intense, 2θ = 10–80°, low angle first)
- 19.81 deg, 4.483 Å, rel. 28.5
- 31.43 deg, 2.846 Å, rel. 43.6
- 32.06 deg, 2.792 Å, rel. 36.5
- 34.14 deg, 2.626 Å, rel. 43.5
- 34.82 deg, 2.577 Å, rel. 78.5
- 36.46 deg, 2.465 Å, rel. 100.0
- 38.44 deg, 2.342 Å, rel. 76.2
- 39.69 deg, 2.271 Å, rel. 94.6
- 42.75 deg, 2.115 Å, rel. 72.3
- 43.05 deg, 2.101 Å, rel. 72.1
- 45.23 deg, 2.005 Å, rel. 33.5
- 63.47 deg, 1.466 Å, rel. 42.0

Atomic structure:
a = 7.450 Å, b = 7.136 Å, c = 5.613 Å
α = 90.00°, β = 90.00°, γ = 90.00°
Fractional coordinates of all 16 atoms:
Y  0.028  0.250  0.145
Y  0.472  0.750  0.645
Y  0.528  0.250  0.355
Y  0.972  0.750  0.855
Ge  0.123  0.750  0.356
Ge  0.377  0.250  0.856
Ge  0.623  0.750  0.144
Ge  0.877  0.250  0.644
Pd  0.179  0.052  0.590
Pd  0.179  0.448  0.590
Pd  0.321  0.552  0.090
Pd  0.321  0.948  0.090
Pd  0.679  0.052  0.910
Pd  0.679  0.448  0.910
Pd  0.821  0.552  0.410
Pd  0.821  0.948  0.410



Structure and simulated powder diffraction line list of KEuNbBiO6 (the GGA-PBE geometry in the Materials Project; Cu Ka).
Intensities are scaled so that the largest is 100.

Peak list (12 most intense, 2θ = 10–80°, low angle first)
- 18.00 deg, 4.927 Å, rel. 21.6
- 20.82 deg, 4.267 Å, rel. 11.6
- 29.61 deg, 3.017 Å, rel. 100.0
- 34.87 deg, 2.573 Å, rel. 15.6
- 42.37 deg, 2.133 Å, rel. 30.5
- 46.38 deg, 1.958 Å, rel. 8.0
- 52.54 deg, 1.742 Å, rel. 40.8
- 55.99 deg, 1.642 Å, rel. 5.3
- 61.46 deg, 1.509 Å, rel. 19.0
- 64.61 deg, 1.442 Å, rel. 5.3
- 69.69 deg, 1.349 Å, rel. 18.2
- 77.49 deg, 1.232 Å, rel. 6.3

Atomic structure:
a = 6.034 Å, b = 6.034 Å, c = 6.034 Å
α = 60.00°, β = 60.00°, γ = 60.00°
Fractional coordinates of all 10 atoms:
K  0.000  0.000  0.000
Eu  0.500  0.500  0.500
Nb  0.750  0.750  0.750
Bi  0.250  0.250  0.250
O  0.514  0.514  0.986
O  0.514  0.986  0.514
O  0.514  0.986  0.986
O  0.986  0.514  0.514
O  0.986  0.514  0.986
O  0.986  0.986  0.514



Structure and simulated powder diffraction line list of KMoRu2 (the GGA-PBE geometry in the Materials Project; Cu Ka).
Intensities are scaled so that the largest is 100.

Peak list (10 most intense, 2θ = 10–80°, low angle first)
- 23.99 deg, 3.710 Å, rel. 8.2
- 27.77 deg, 3.213 Å, rel. 3.6
- 39.67 deg, 2.272 Å, rel. 100.0
- 46.90 deg, 1.937 Å, rel. 4.4
- 49.12 deg, 1.855 Å, rel. 1.0
- 57.36 deg, 1.606 Å, rel. 16.3
- 63.06 deg, 1.474 Å, rel. 1.9
- 64.90 deg, 1.437 Å, rel. 1.4
- 72.00 deg, 1.312 Å, rel. 32.5
- 77.13 deg, 1.237 Å, rel. 1.4

Atomic structure:
a = 4.544 Å, b = 4.544 Å, c = 4.544 Å
α = 60.00°, β = 60.00°, γ = 60.00°
Fractional coordinates of all 4 atoms:
K  0.000  0.000  0.000
Mo  0.250  0.250  0.250
Ru  0.500  0.500  0.500
Ru  0.750  0.750  0.750



Structure and simulated powder diffraction line list of LuSi2Ni2 (the GGA-PBE geometry in the Materials Project; Cu Ka).
Intensities are scaled so that the largest is 100.

Peak list (12 most intense, 2θ = 10–80°, low angle first)
- 24.59 deg, 3.621 Å, rel. 55.3
- 36.55 deg, 2.458 Å, rel. 53.3
- 37.61 deg, 2.391 Å, rel. 100.0
- 38.00 deg, 2.368 Å, rel. 16.0
- 46.35 deg, 1.959 Å, rel. 38.4
- 53.16 deg, 1.723 Å, rel. 14.6
- 53.75 deg, 1.705 Å, rel. 17.6
- 60.42 deg, 1.532 Å, rel. 24.7
- 61.43 deg, 1.509 Å, rel. 15.3
- 67.63 deg, 1.385 Å, rel. 12.1
- 68.40 deg, 1.371 Å, rel. 16.5
- 73.65 deg, 1.286 Å, rel. 13.9

Atomic structure:
a = 5.486 Å, b = 5.486 Å, c = 5.486 Å
α = 138.16°, β = 138.16°, γ = 60.66°
Fractional coordinates of all 5 atoms:
Lu  0.000  0.000  0.000
Si  0.375  0.375  0.000
Si  0.625  0.625  0.000
Ni  0.250  0.750  0.500
Ni  0.750  0.250  0.500



Structure and simulated powder diffraction line list of LiCuPO4 (the GGA-PBE geometry in the Materials Project; Cu Ka).
Intensities are scaled so that the largest is 100.

Peak list (12 most intense, 2θ = 10–80°, low angle first)
- 16.06 deg, 5.518 Å, rel. 46.8
- 19.19 deg, 4.625 Å, rel. 53.2
- 22.14 deg, 4.015 Å, rel. 67.8
- 23.43 deg, 3.797 Å, rel. 100.0
- 30.46 deg, 2.935 Å, rel. 44.9
- 31.63 deg, 2.829 Å, rel. 39.6
- 32.45 deg, 2.759 Å, rel. 21.1
- 35.67 deg, 2.517 Å, rel. 21.6
- 37.17 deg, 2.419 Å, rel. 38.3
- 40.79 deg, 2.212 Å, rel. 18.5
- 44.40 deg, 2.041 Å, rel. 43.6
- 45.28 deg, 2.003 Å, rel. 23.5

Atomic structure:
a = 7.595 Å, b = 8.030 Å, c = 5.657 Å
α = 90.00°, β = 90.00°, γ = 90.00°
Fractional coordinates of all 28 atoms:
Li  0.050  0.231  0.000
Li  0.450  0.731  0.500
Li  0.550  0.269  0.000
Li  0.950  0.769  0.500
Cu  0.220  0.579  0.004
Cu  0.280  0.079  0.504
Cu  0.720  0.921  0.004
Cu  0.780  0.421  0.504
P  0.191  0.449  0.509
P  0.309  0.949  0.009
P  0.691  0.051  0.509
P  0.809  0.551  0.009
O  0.008  0.535  0.471
O  0.169  0.277  0.634
O  0.200  0.070  0.169
O  0.212  0.930  0.770
O  0.288  0.430  0.270
O  0.300  0.570  0.669
O  0.331  0.777  0.134
O  0.492  0.035  0.971
O  0.508  0.965  0.471
O  0.669  0.223  0.634
O  0.700  0.430  0.169
O  0.712  0.570  0.770
O  0.788  0.070  0.270
O  0.800  0.930  0.669
O  0.831  0.723  0.134
O  0.992  0.465  0.971



Structure and simulated powder diffraction line list of SrPdF4 (the GGA-PBE geometry in the Materials Project; Cu Ka).
Intensities are scaled so that the largest is 100.

Peak list (12 most intense, 2θ = 10–80°, low angle first)
- 21.19 deg, 4.193 Å, rel. 3.9
- 26.91 deg, 3.314 Å, rel. 100.0
- 30.14 deg, 2.965 Å, rel. 23.1
- 33.13 deg, 2.704 Å, rel. 5.3
- 34.83 deg, 2.576 Å, rel. 4.2
- 43.15 deg, 2.097 Å, rel. 17.2
- 45.40 deg, 1.998 Å, rel. 34.5
- 51.59 deg, 1.772 Å, rel. 33.9
- 55.47 deg, 1.656 Å, rel. 24.6
- 69.48 deg, 1.353 Å, rel. 9.1
- 71.10 deg, 1.326 Å, rel. 7.2
- 72.76 deg, 1.300 Å, rel. 18.2

Atomic structure:
a = 6.843 Å, b = 6.843 Å, c = 6.843 Å
α = 128.65°, β = 128.65°, γ = 75.58°
Fractional coordinates of all 12 atoms:
Sr  0.250  0.250  0.000
Sr  0.750  0.750  0.000
Pd  0.000  0.500  0.500
Pd  0.500  0.000  0.500
F  0.037  0.537  0.839
F  0.199  0.037  0.500
F  0.301  0.801  0.839
F  0.463  0.301  0.500
F  0.537  0.699  0.500
F  0.699  0.199  0.161
F  0.801  0.963  0.500
F  0.963  0.463  0.161



Structure and simulated powder diffraction line list of Ar (the GGA-PBE geometry in the Materials Project; Cu Ka).
Intensities are scaled so that the largest is 100.

Peak list (12 most intense, 2θ = 10–80°, low angle first)
- 25.80 deg, 3.453 Å, rel. 23.8
- 27.28 deg, 3.269 Å, rel. 27.1
- 29.25 deg, 3.054 Å, rel. 100.0
- 37.90 deg, 2.374 Å, rel. 15.0
- 45.49 deg, 1.994 Å, rel. 16.4
- 49.45 deg, 1.843 Å, rel. 18.5
- 53.86 deg, 1.702 Å, rel. 18.3
- 55.00 deg, 1.669 Å, rel. 12.8
- 69.45 deg, 1.353 Å, rel. 5.9
- 74.07 deg, 1.280 Å, rel. 9.7
- 75.16 deg, 1.264 Å, rel. 6.2
- 78.16 deg, 1.223 Å, rel. 4.2

Atomic structure:
a = 3.988 Å, b = 3.988 Å, c = 6.538 Å
α = 90.00°, β = 90.00°, γ = 120.00°
Fractional coordinates of all 2 atoms:
Ar  0.333  0.667  0.250
Ar  0.667  0.333  0.750